Structure and computed powder diffractogram of Ho6ZnRu (a structure optimized by DFT (PBE); a wavelength of 1.5418 Å).
No peak broadening, texture or thermal motion is included.

Peak list (8 most intense, 5 to 70 degrees two-theta, low angle first)
| d_spacing | Position (°2θ) | I/Imax | hkl |
| --- | --- | --- | --- |
| 3.236 | 27.56 | 22 | 1 1 2 |
| 2.858 | 31.30 | 15 | 0 0 6 |
| 2.709 | 33.07 | 100 | 1 1 4 |
| 2.471 | 36.36 | 51 | 2 0 0 |
| 1.869 | 48.71 | 17 | 2 0 6 |
| 1.747 | 52.36 | 18 | 2 2 0 |
| 1.539 | 60.12 | 17 | 1 1 10 |
| 1.468 | 63.34 | 31 | 3 1 4 |

Structural model:
Cell lengths 4.9423, 4.9423, 17.1494 Å; angles 90.00, 90.00, 90.00 degrees
Space group I4/mmm (No. 139)
Inequivalent atoms, fractional coordinates:
Ho1 0.0000 0.0000 0.2494
Ho2 0.0000 0.5000 0.0973
Zn1 0.0000 0.0000 0.0000
Ru1 0.0000 0.0000 0.5000

***

Structure and computed powder diffractogram of Ho12ZnRu6 (a structure optimized by DFT (PBE); a wavelength of 1.5418 Å).
No peak broadening, texture or thermal motion is included.

Peak list (8 most intense, 5 to 70 degrees two-theta, low angle first)
| d_spacing | Position (°2θ) | I/Imax | hkl |
| --- | --- | --- | --- |
| 3.845 | 23.13 | 30 | 2 1 1 |
| 3.295 | 27.06 | 71 | 3 -2 2 |
| 3.132 | 28.50 | 17 | 2 2 0 |
| 2.681 | 33.43 | 33 | 1 0 4 |
| 2.644 | 33.91 | 42 | 3 1 2 |
| 2.368 | 38.00 | 100 | 1 4 0 |
| 2.293 | 39.28 | 67 | 2 1 4 |
| 1.647 | 55.81 | 23 | 6 -4 4 |

Structural model:
Cell lengths 12.5288, 12.5288, 11.0660 Å; angles 90.00, 90.00, 120.00 degrees
Space group R-3 (No. 148, hexagonal axes)
Inequivalent atoms, fractional coordinates:
Ho1 0.0326 0.2069 0.3844
Ho2 0.0369 0.2182 0.8858
Zn1 0.0000 0.0000 0.0000
Ru1 0.0492 0.2626 0.6483